Record 1
The following is a simulated powder diffractogram of LaAlH6. It was derived from a crystal structure in the Materials Project, relaxed with GGA-PBE, using a wavelength of 1.5418 Å.
Neutral-atom scattering factors, no anomalous dispersion.

Largest 10 diffraction maxima, sorted by position, 2θ = 10–80°:
2θ 21.1, I = 81; 2θ 27.3, I = 100; 2θ 32.6, I = 62; 2θ 34.8, I = 22; 2θ 43.0, I = 28; 2θ 44.8, I = 25; 2θ 48.3, I = 20; 2θ 51.7, I = 35; 2θ 51.9, I = 15; 2θ 66.7, I = 22

Atomic structure:
abc: 4.311 4.311 4.311
angles: 98.36 98.36 98.36
Positions (direct):
La (0.000, 0.000, 0.000)
Al (0.500, 0.500, 0.500)
H (0.206, 0.206, 0.560)
H (0.206, 0.560, 0.206)
H (0.440, 0.794, 0.794)
H (0.560, 0.206, 0.206)
H (0.794, 0.440, 0.794)
H (0.794, 0.794, 0.440)

Record 2
The following is a simulated powder diffractogram of La2AlNi9H12. It was derived from a crystal structure in the Materials Project, relaxed with GGA-PBE, using a wavelength of 1.5418 Å.
Neutral-atom scattering factors, no anomalous dispersion.

Largest 10 diffraction maxima, sorted by position, 2θ = 10–80°:
2θ 28.9, I = 28; 2θ 29.7, I = 34; 2θ 32.2, I = 43; 2θ 35.7, I = 47; 2θ 38.1, I = 86; 2θ 39.8, I = 100; 2θ 46.5, I = 33; 2θ 60.0, I = 21; 2θ 60.1, I = 28; 2θ 67.3, I = 19

Atomic structure:
abc: 5.580 5.580 7.811
angles: 90.00 90.00 115.69
Positions (direct):
La (0.000, 0.000, 0.249)
La (0.000, 0.000, 0.751)
Al (0.500, 0.500, 0.000)
Ni (0.000, 0.500, 0.000)
Ni (0.000, 0.500, 0.500)
Ni (0.346, 0.654, 0.247)
Ni (0.346, 0.654, 0.753)
Ni (0.500, 0.000, 0.000)
Ni (0.500, 0.000, 0.500)
Ni (0.500, 0.500, 0.500)
Ni (0.654, 0.346, 0.247)
Ni (0.654, 0.346, 0.753)
H (0.125, 0.299, 0.000)
H (0.184, 0.355, 0.500)
H (0.185, 0.815, 0.500)
H (0.199, 0.801, 0.000)
H (0.299, 0.125, 0.000)
H (0.355, 0.184, 0.500)
H (0.645, 0.816, 0.500)
H (0.701, 0.875, 0.000)
H (0.801, 0.199, 0.000)
H (0.815, 0.185, 0.500)
H (0.816, 0.645, 0.500)
H (0.875, 0.701, 0.000)